For MgCdPt2, DFT lattice parameters and positions (PBE) gives the computed X-ray powder pattern in this record (Cu Kα).
Peak positions follow from Bragg's law for the DFT cell and can differ from measured ones.

Cell and atoms:
```
MgCdPt2
1.0
2.966 0.000 0.000
0.000 4.701 0.000
0.000 0.000 4.852
Mg Cd Pt
1 1 2
direct
0.000 0.000 0.000
0.000 0.500 0.401
0.500 0.000 0.513
0.500 0.500 0.901
```

Top 10 peaks for 10 to 90 degrees two-theta, low angle first:
26.4°, I 33, (0 1 1)
30.1°, I 13, (1 0 0)
35.5°, I 12, (1 0 1)
37.1°, I 22, (0 0 2)
38.3°, I 33, (0 2 0)
40.5°, I 100, (1 1 1)
41.9°, I 22, (0 1 2)
54.3°, I 14, (0 2 2)
70.7°, I 21, (1 3 1)
78.7°, I 13, (1 2 3)